# 1
Computed X-ray powder pattern of HgPd8Pt2 for Cu Kα, from DFT lattice parameters and positions (PBE).

Most intense lines, 10° ≤ 2θ ≤ 90°, low angle first:
hkl 2 0 -1, 39.11°, rel. 100
hkl 1 1 2, 39.19°, rel. 33
hkl -1 1 3, 45.28°, rel. 22
hkl 1 2 -1, 45.44°, rel. 22
hkl 2 -1 2, 45.77°, rel. 21
hkl 2 1 -4, 66.09°, rel. 14
hkl 1 -3 3, 66.36°, rel. 21
hkl -3 1 4, 79.44°, rel. 12
hkl 1 3 -4, 79.63°, rel. 8
hkl 3 2 -2, 79.76°, rel. 8
hkl 3 -3 2, 80.11°, rel. 8
hkl 4 -1 1, 80.24°, rel. 8

```
data_HgPd8Pt2
_chemical_formula_sum 'Hg1 Pd8 Pt2'
_space_group_name_H-M_alt 'P -1'
_space_group_IT_number 2
_space_group_name_Hall '-P 1'
_cell_length_a 4.8677
_cell_length_b 4.8906
_cell_length_c 7.4687
_cell_angle_alpha 96.04
_cell_angle_beta 90.51
_cell_angle_gamma 99.54
loop_
_atom_site_label
_atom_site_fract_x
_atom_site_fract_y
_atom_site_fract_z
_atom_site_occupancy
Hg1 0.0000 0.0000 0.0000 1
Pd1 0.0922 0.5491 0.1874 1
Pd2 0.1851 0.0952 0.3697 1
Pd3 0.3687 0.1796 0.7260 1
Pd4 0.4511 0.7205 0.9063 1
Pt1 0.2714 0.6331 0.5464 1
```



# 2
Computed X-ray powder pattern of Li10GeP2Se12 for Cu Kα, from DFT lattice parameters and positions (PBE).

Most intense lines, 10° ≤ 2θ ≤ 90°, low angle first:
hkl 1 1 0, 13.50°, rel. 12
hkl 1 1 2, 18.94°, rel. 17
hkl 2 1 1, 22.44°, rel. 16
hkl 2 1 2, 25.26°, rel. 15
hkl 2 2 0, 27.20°, rel. 32
hkl 2 0 3, 27.73°, rel. 100
hkl 2 2 4, 38.42°, rel. 10
hkl 4 0 0, 38.85°, rel. 24
hkl 3 2 4, 44.41°, rel. 24
hkl 4 2 3, 48.40°, rel. 18
hkl 2 2 6, 49.38°, rel. 10
hkl 3 2 6, 54.42°, rel. 10

```
data_Li10GeP2Se12
_chemical_formula_sum 'Li20 Ge2 P4 Se24'
_space_group_name_H-M_alt 'P 42 m c'
_space_group_IT_number 105
_space_group_name_Hall 'P 4c -2'
_cell_length_a 9.2725
_cell_length_b 9.2725
_cell_length_c 13.3988
_cell_angle_alpha 90.00
_cell_angle_beta 90.00
_cell_angle_gamma 90.00
loop_
_atom_site_label
_atom_site_fract_x
_atom_site_fract_y
_atom_site_fract_z
_atom_site_occupancy
Li1 0.0000 0.0000 0.0000 1
Li2 0.2269 0.2641 0.2456 1
Li3 0.2387 0.2411 0.9796 1
Li4 0.5000 0.5000 0.3963 1
Ge1 0.0000 0.0000 0.2534 1
P1 0.0000 0.5000 0.4577 1
P2 0.5000 0.5000 0.1390 1
Se1 0.0000 0.2087 0.1496 1
Se2 0.0000 0.2139 0.8562 1
Se3 0.0000 0.3054 0.5538 1
Se4 0.1992 0.5000 0.3619 1
Se5 0.2981 0.5000 0.0466 1
Se6 0.3033 0.5000 0.7336 1
```



# 3
Computed X-ray powder pattern of CaTl3Pb4 for Cu Kα, from DFT lattice parameters and positions (PBE).

Most intense lines, 10° ≤ 2θ ≤ 90°, low angle first:
hkl 1 1 0, 26.20°, rel. 40
hkl 1 1 -1, 29.33°, rel. 24
hkl 2 0 2, 31.54°, rel. 53
hkl 6 0 -2, 31.93°, rel. 100
hkl 5 1 0, 32.82°, rel. 13
hkl 3 1 1, 33.42°, rel. 20
hkl 5 1 -1, 33.59°, rel. 18
hkl 7 1 0, 38.42°, rel. 21
hkl 1 1 2, 39.81°, rel. 15
hkl 5 1 -2, 40.03°, rel. 18
hkl 2 2 2, 63.20°, rel. 18
hkl 6 2 -2, 63.44°, rel. 29

```
data_CaTl3Pb4
_chemical_formula_sum 'Ca2 Tl6 Pb8'
_space_group_name_H-M_alt 'C 1 2/m 1'
_space_group_IT_number 12
_space_group_name_Hall '-C 2y'
_cell_length_a 23.2524
_cell_length_b 3.4412
_cell_length_c 6.5343
_cell_angle_alpha 90.00
_cell_angle_beta 105.61
_cell_angle_gamma 90.00
loop_
_atom_site_label
_atom_site_fract_x
_atom_site_fract_y
_atom_site_fract_z
_atom_site_occupancy
Ca1 0.0000 0.0000 0.0000 1
Tl1 0.0000 0.5000 0.5000 1
Tl2 0.1236 0.5000 0.3725 1
Pb1 0.1248 0.5000 0.8796 1
Pb2 0.2423 0.0000 0.2531 1
```



# 4
Computed X-ray powder pattern of MnNi4Mo for Cu Kα, from DFT lattice parameters and positions (PBE).

Most intense lines, 10° ≤ 2θ ≤ 90°, low angle first:
hkl 0 0 1, 17.95°, rel. 2
hkl 1 0 0, 25.37°, rel. 2
hkl 1 0 1, 31.25°, rel. 7
hkl 0 0 2, 36.36°, rel. 4
hkl 1 1 0, 44.71°, rel. 100
hkl 1 0 2, 44.86°, rel. 93
hkl 1 1 2, 58.93°, rel. 5
hkl 2 0 2, 65.19°, rel. 28
hkl 1 1 3, 74.18°, rel. 1
hkl 0 0 4, 77.22°, rel. 6
hkl 3 0 0, 82.41°, rel. 15
hkl 2 1 2, 82.51°, rel. 28

```
data_MnNi4Mo
_chemical_formula_sum 'Mn1 Ni4 Mo1'
_space_group_name_H-M_alt 'P 6/m m m'
_space_group_IT_number 191
_space_group_name_Hall '-P 6 2'
_cell_length_a 4.0541
_cell_length_b 4.0541
_cell_length_c 4.9417
_cell_angle_alpha 90.00
_cell_angle_beta 90.00
_cell_angle_gamma 120.00
loop_
_atom_site_label
_atom_site_fract_x
_atom_site_fract_y
_atom_site_fract_z
_atom_site_occupancy
Mn1 0.0000 0.0000 0.0000 1
Ni1 0.3333 0.6667 0.2437 1
Mo1 0.0000 0.0000 0.5000 1
```